# 1
For Hf2Sc3Hg3, a crystal structure in Alexandria, relaxed with GGA-PBE gives the simulated X-ray powder pattern in this record (Cu Kα (λ = 1.5418 Å)).
Peak positions follow from Bragg's law for the DFT cell and can differ from measured ones.

The 10 most intense peaks (5° ≤ 2θ ≤ 70°), low angle first:
d [Å]  intensity
4.083  266
3.315  126
3.219  84
2.617  292
2.517  281
2.464  1000
1.814  198
1.480  124
1.443  189
1.396  90

Structure:
Lattice parameters (Å, degrees): 10.897 10.897 10.897 162.28 153.29 32.24
Fractional coordinates of all 8 atoms:
Hf1 0.236 0.236 0.000
Hf2 0.764 0.764 0.000
Sc1 0.000 0.000 0.000
Sc2 0.368 0.868 0.500
Sc3 0.632 0.132 0.500
Hg1 0.117 0.617 0.500
Hg2 0.500 0.500 0.000
Hg3 0.883 0.383 0.500

***

# 2
For HfSc2Hg3, a crystal structure in Alexandria, relaxed with GGA-PBE gives the simulated X-ray powder pattern in this record (Cu Kα (λ = 1.5418 Å)).
Peak positions follow from Bragg's law for the DFT cell and can differ from measured ones.

The 10 most intense peaks (5° ≤ 2θ ≤ 70°), low angle first:
d [Å]  intensity
10.504  102
3.508  180
3.330  33
2.480  1000
2.025  58
1.755  118
1.751  59
1.570  53
1.433  242
1.431  121

Structure:
Lattice parameters (Å, degrees): 3.511 3.511 10.504 90.00 90.00 90.00
Fractional coordinates of all 6 atoms:
Hf1 0.000 0.000 0.000
Sc1 0.000 0.000 0.332
Sc2 0.000 0.000 0.668
Hg1 0.500 0.500 0.167
Hg2 0.500 0.500 0.500
Hg3 0.500 0.500 0.833

***

# 3
For HfSc4Hg5, a crystal structure in Alexandria, relaxed with GGA-PBE gives the simulated X-ray powder pattern in this record (Cu Kα (λ = 1.5418 Å)).
Peak positions follow from Bragg's law for the DFT cell and can differ from measured ones.

The 10 most intense peaks (5° ≤ 2θ ≤ 70°), low angle first:
d [Å]  intensity
17.520  125
3.518  183
3.504  91
2.484  1000
2.028  87
1.759  118
1.752  61
1.573  80
1.435  242
1.432  120

Structure:
Lattice parameters (Å, degrees): 3.518 3.518 17.520 90.00 90.00 90.00
Fractional coordinates of all 10 atoms:
Hf1 0.000 0.000 0.000
Sc1 0.000 0.000 0.198
Sc2 0.000 0.000 0.399
Sc3 0.000 0.000 0.601
Sc4 0.000 0.000 0.802
Hg1 0.500 0.500 0.100
Hg2 0.500 0.500 0.299
Hg3 0.500 0.500 0.500
Hg4 0.500 0.500 0.701
Hg5 0.500 0.500 0.900

***

# 4
For HfHgSe2, a crystal structure in Alexandria, relaxed with GGA-PBE gives the simulated X-ray powder pattern in this record (Cu Kα (λ = 1.5418 Å)).
Peak positions follow from Bragg's law for the DFT cell and can differ from measured ones.

The 10 most intense peaks (5° ≤ 2θ ≤ 70°), low angle first:
d [Å]  intensity
7.673  491
5.082  960
3.149  1000
3.099  317
3.062  407
2.774  293
2.566  501
2.368  776
2.089  305
1.835  331

Structure:
Lattice parameters (Å, degrees): 10.163 3.671 15.346 90.00 90.00 90.00
Fractional coordinates of all 16 atoms:
Hf1 0.031 0.250 0.099
Hf2 0.469 0.750 0.599
Hf3 0.531 0.250 0.401
Hf4 0.969 0.750 0.901
Hg1 0.036 0.250 0.592
Hg2 0.464 0.750 0.092
Hg3 0.536 0.250 0.908
Hg4 0.964 0.750 0.408
Se1 0.128 0.750 0.195
Se2 0.154 0.250 0.953
Se3 0.346 0.750 0.453
Se4 0.372 0.250 0.695
Se5 0.628 0.750 0.305
Se6 0.654 0.250 0.547
Se7 0.846 0.750 0.047
Se8 0.872 0.250 0.805

***

# 5
For Hf6TcHg3, a crystal structure in Alexandria, relaxed with GGA-PBE gives the simulated X-ray powder pattern in this record (Cu Kα (λ = 1.5418 Å)).
Peak positions follow from Bragg's law for the DFT cell and can differ from measured ones.

The 10 most intense peaks (5° ≤ 2θ ≤ 70°), low angle first:
d [Å]  intensity
2.764  270
2.606  210
2.559  341
2.450  1000
2.443  558
2.357  307
2.322  349
2.250  466
1.458  200
1.382  216

Structure:
Lattice parameters (Å, degrees): 5.841 5.841 7.623 103.96 103.96 58.79
Fractional coordinates of all 10 atoms:
Hf1 0.102 0.610 0.182
Hf2 0.135 0.135 0.415
Hf3 0.390 0.898 0.818
Hf4 0.610 0.102 0.182
Hf5 0.865 0.865 0.585
Hf6 0.898 0.390 0.818
Tc1 0.000 0.000 0.000
Hg1 0.387 0.387 0.818
Hg2 0.500 0.500 0.500
Hg3 0.613 0.613 0.182

***

# 6
For HfHgTe, a crystal structure in Alexandria, relaxed with GGA-PBE gives the simulated X-ray powder pattern in this record (Cu Kα (λ = 1.5418 Å)).
Peak positions follow from Bragg's law for the DFT cell and can differ from measured ones.

The 10 most intense peaks (5° ≤ 2θ ≤ 70°), low angle first:
d [Å]  intensity
12.190  112
6.095  110
3.165  188
2.737  1000
2.619  681
2.353  102
2.036  149
1.852  247
1.534  353
1.370  124

Structure:
Lattice parameters (Å, degrees): 3.704 3.704 12.190 90.00 90.00 90.00
Fractional coordinates of all 6 atoms:
Hf1 0.250 0.250 0.069
Hf2 0.750 0.750 0.931
Hg1 0.250 0.250 0.405
Hg2 0.750 0.750 0.595
Te1 0.250 0.250 0.816
Te2 0.750 0.750 0.184